[1]
LaTb2DyS6: calculated powder diffractogram (λ = 1.5418 Å (Cu Kα)), based on the PBE geometry in Alexandria.
Lines closer than 0.1° are merged.

Structure:
a b c (Å): 7.0439 7.0439 18.6149
angles (deg): 90.00 90.00 120.00
Space group R3 (No. 146, hexagonal axes)
Inequivalent atoms, fractional coordinates:
La (0.0000, 0.0000, 0.0000)
Tb (0.0000, 0.0000, 0.2886)
Tb (0.0000, 0.0000, 0.7931)
Dy (0.0000, 0.0000, 0.4921)
S (0.0011, 0.3044, 0.8902)
S (0.0245, 0.7216, 0.3907)

Principal peaks in the range 2θ = 10–90°, in order of rising 2θ:
2θ/deg, d (Å), I/Imax, index
17.38, 5.102, 38, 0 1 2
24.05, 3.700, 100, 1 0 4
25.29, 3.522, 99, 1 1 0
35.18, 2.551, 50, 0 2 4
38.68, 2.328, 74, 2 -1 6
43.82, 2.066, 50, 3 -1 4
44.56, 2.033, 49, 3 0 0
51.30, 1.781, 25, 1 0 10
58.02, 1.590, 28, 0 2 10
64.31, 1.449, 24, 2 1 10

---

[2]
Ac2Si6Rh9: calculated powder diffractogram (λ = 1.5418 Å (Cu Kα)), based on the PBE geometry in Alexandria.
Lines closer than 0.1° are merged.

Structure:
a b c (Å): 5.7990 5.7990 10.4988
angles (deg): 90.00 90.00 120.00
Space group P6/mmm (No. 191)
Inequivalent atoms, fractional coordinates:
Ac (0.0000, 0.0000, 0.1996)
Si (0.3333, 0.6667, 0.1665)
Si (0.3333, 0.6667, 0.5000)
Rh (0.0000, 0.5000, 0.0000)
Rh (0.0000, 0.5000, 0.3360)

Principal peaks in the range 2θ = 10–90°, in order of rising 2θ:
2θ/deg, d (Å), I/Imax, index
24.53, 3.629, 40, 1 0 2
31.15, 2.871, 59, 1 0 3
35.37, 2.538, 16, 1 1 2
35.76, 2.511, 100, 2 0 0
40.40, 2.233, 60, 1 1 3
44.40, 2.040, 28, 2 0 3
55.04, 1.669, 24, 2 1 3
61.39, 1.510, 17, 3 0 3
64.25, 1.450, 26, 2 2 0
64.95, 1.436, 23, 2 0 6